No. 1
Structure and theoretical powder X-ray diffraction pattern of Li3Ce3PaSe8 (a structure optimized by DFT (PBE); Cu Kα (weighted mean of Kα1 and Kα2)).
Intensities are scaled so that the largest is 100.

Most intense lines, 10 to 90 degrees two-theta, in order of rising 2θ:
- 13.71 deg, I = 50
- 24.75 deg, I = 41
- 30.62 deg, I = 100
- 33.69 deg, I = 20
- 42.79 deg, I = 39
- 44.88 deg, I = 35
- 45.14 deg, I = 16
- 53.52 deg, I = 20
- 70.83 deg, I = 17
- 73.88 deg, I = 16

Structure:
```
15
Lattice="4.227 2.440 6.457 -4.227 2.440 6.457 0.000 -4.881 6.457" Properties=species:S:1:pos:R:3 pbc="T T T"
Li -2.113 -1.220 6.457
Li -2.113 1.220 12.913
Li 0.000 2.440 6.457
Ce -4.227 0.000 9.685
Ce -2.113 1.220 3.228
Ce 2.113 1.220 3.228
Pa 0.000 0.000 9.685
Se 0.000 0.000 4.899
Se 0.000 -2.338 8.063
Se -2.025 1.169 8.063
Se -2.025 -1.169 11.307
Se 2.025 1.169 8.063
Se 2.025 -1.169 11.307
Se 0.000 2.338 11.307
Se 0.000 0.000 14.471
```

***

No. 2
Structure and theoretical powder X-ray diffraction pattern of RbNaNi2 (a structure optimized by DFT (PBE); Cu Kα (weighted mean of Kα1 and Kα2)).
Intensities are scaled so that the largest is 100.

Most intense lines, 10 to 90 degrees two-theta, in order of rising 2θ:
- 15.90 deg, I = 76
- 20.87 deg, I = 42
- 24.28 deg, I = 42
- 26.79 deg, I = 100
- 29.66 deg, I = 65
- 30.93 deg, I = 65
- 34.09 deg, I = 51
- 38.65 deg, I = 40
- 44.58 deg, I = 44
- 45.06 deg, I = 33

Structure:
```
8
Lattice="5.950 -2.302 0.000 5.950 2.302 0.000 -3.381 0.000 9.035" Properties=species:S:1:pos:R:3 pbc="T T T"
Rb 1.654 0.000 1.520
Rb 6.865 0.000 7.514
Na 3.610 -0.416 5.886
Na 4.908 -0.416 3.148
Ni 1.256 0.839 4.722
Ni -0.654 -0.414 4.963
Ni 7.262 0.839 4.313
Ni 9.172 -0.414 4.071
```

***

No. 3
Structure and theoretical powder X-ray diffraction pattern of Be16SiTc2 (a structure optimized by DFT (PBE); Cu Kα (weighted mean of Kα1 and Kα2)).
Intensities are scaled so that the largest is 100.

Most intense lines, 10 to 90 degrees two-theta, in order of rising 2θ:
- 16.28 deg, I = 43
- 24.32 deg, I = 100
- 25.11 deg, I = 22
- 35.24 deg, I = 67
- 36.64 deg, I = 23
- 42.80 deg, I = 35
- 44.47 deg, I = 17
- 49.83 deg, I = 26
- 50.27 deg, I = 38
- 51.33 deg, I = 19

Structure:
```
19
Lattice="3.660 2.113 3.546 -3.660 2.113 3.546 0.000 -4.226 3.546" Properties=species:S:1:pos:R:3 pbc="T T T"
Be 0.000 0.000 0.500
Be 0.000 -2.157 3.422
Be -1.868 1.078 3.422
Be -1.136 -2.261 5.194
Be -2.526 0.147 5.194
Be -1.795 -1.037 6.847
Be 1.136 -2.261 5.194
Be -1.390 2.115 5.194
Be 0.000 -2.015 7.093
Be -1.745 1.008 7.093
Be 1.868 1.078 3.422
Be 1.795 -1.037 6.847
Be 0.000 2.073 6.847
Be 2.526 0.147 5.194
Be 1.390 2.115 5.194
Be 1.745 1.008 7.093
Si 0.000 0.000 2.754
Tc 0.000 0.000 5.300
Tc 0.000 0.000 8.643
```